[1]
For Mg2PaSiPt2, a PBE-relaxed structure gives the simulated powder XRD pattern in this record (Cu Kα, 1.54184 Å).

Atomic structure:
```
data_Mg2PaSiPt2
_cell_length_a 5.1091
_cell_length_b 5.1091
_cell_length_c 10.2078
_cell_angle_alpha 90.00
_cell_angle_beta 90.00
_cell_angle_gamma 90.00
_symmetry_space_group_name_H-M 'I 4/m m m'
_symmetry_Int_Tables_number 139
_symmetry_space_group_name_Hall '-I 4 2'
loop_
_atom_site_label
_atom_site_type_symbol
_atom_site_fract_x
_atom_site_fract_y
_atom_site_fract_z
Mg1 Mg 0.0000 0.5000 0.2500
Pa1 Pa 0.0000 0.0000 0.0000
Si1 Si 0.0000 0.0000 0.5000
Pt1 Pt 0.0000 0.0000 0.2705
```

Top 8 peaks for 10° ≤ 2θ ≤ 80°, in order of rising 2θ:
19.43 deg, d 4.569, intensity 213, hkl 1 0 1; 24.64 deg, d 3.613, intensity 1000, hkl 1 1 0; 31.59 deg, d 2.832, intensity 362, hkl 1 0 3; 35.14 deg, d 2.554, intensity 803, hkl 2 0 0; 43.41 deg, d 2.084, intensity 382, hkl 1 1 4; 47.96 deg, d 1.897, intensity 236, hkl 2 1 3; 50.55 deg, d 1.806, intensity 552, hkl 2 2 0; 57.00 deg, d 1.616, intensity 208, hkl 3 1 0



[2]
For MgPaSi2Pt5, a PBE-relaxed structure gives the simulated powder XRD pattern in this record (Cu Kα, 1.54184 Å).

Atomic structure:
```
data_MgPaSi2Pt5
_cell_length_a 4.2543
_cell_length_b 4.2543
_cell_length_c 8.7054
_cell_angle_alpha 90.00
_cell_angle_beta 90.00
_cell_angle_gamma 90.00
_symmetry_space_group_name_H-M 'P 4/m m m'
_symmetry_Int_Tables_number 123
_symmetry_space_group_name_Hall '-P 4 2'
loop_
_atom_site_label
_atom_site_type_symbol
_atom_site_fract_x
_atom_site_fract_y
_atom_site_fract_z
Mg1 Mg 0.0000 0.0000 0.0000
Pa1 Pa 0.0000 0.0000 0.5000
Si1 Si 0.5000 0.5000 0.1310
Pt1 Pt 0.0000 0.5000 0.2623
Pt2 Pt 0.5000 0.5000 0.5000
```

Top 8 peaks for 10° ≤ 2θ ≤ 80°, in order of rising 2θ:
10.16 deg, d 8.705, intensity 551, hkl 0 0 1; 36.30 deg, d 2.475, intensity 1000, hkl 1 1 2; 41.49 deg, d 2.176, intensity 152, hkl 0 0 4; 42.50 deg, d 2.127, intensity 364, hkl 2 0 0; 43.32 deg, d 2.089, intensity 162, hkl 1 1 3; 60.90 deg, d 1.521, intensity 199, hkl 2 0 4; 72.30 deg, d 1.307, intensity 125, hkl 1 1 6; 73.71 deg, d 1.285, intensity 262, hkl 3 1 2



[3]
For ThMgPa2Pt4, a PBE-relaxed structure gives the simulated powder XRD pattern in this record (Cu Kα, 1.54184 Å).

Atomic structure:
```
data_ThMgPa2Pt4
_cell_length_a 7.5740
_cell_length_b 11.1468
_cell_length_c 8.4756
_cell_angle_alpha 90.00
_cell_angle_beta 90.00
_cell_angle_gamma 90.00
_symmetry_space_group_name_H-M 'F m m 2'
_symmetry_Int_Tables_number 42
_symmetry_space_group_name_Hall 'F 2 -2'
loop_
_atom_site_label
_atom_site_type_symbol
_atom_site_fract_x
_atom_site_fract_y
_atom_site_fract_z
Th1 Th 0.0000 0.0000 0.0000
Mg1 Mg 0.0000 0.0000 0.6044
Pa1 Pa 0.2500 0.2500 0.2269
Pt1 Pt 0.0000 0.2240 0.4757
Pt2 Pt 0.1845 0.0000 0.3045
```

Top 8 peaks for 10° ≤ 2θ ≤ 80°, in order of rising 2θ:
28.76 deg, d 3.104, intensity 200, hkl 1 3 1; 31.69 deg, d 2.824, intensity 1000, hkl 2 0 2; 32.12 deg, d 2.787, intensity 614, hkl 0 4 0; 35.64 deg, d 2.519, intensity 294, hkl 2 2 2; 38.06 deg, d 2.365, intensity 154, hkl 3 1 1; 41.90 deg, d 2.156, intensity 193, hkl 1 3 3; 44.69 deg, d 2.028, intensity 208, hkl 3 3 1; 45.76 deg, d 1.983, intensity 863, hkl 2 4 2



[4]
For PuMgPa2Sb4, a PBE-relaxed structure gives the simulated powder XRD pattern in this record (Cu Kα, 1.54184 Å).

Atomic structure:
```
data_PuMgPa2Sb4
_cell_length_a 6.1842
_cell_length_b 6.1842
_cell_length_c 12.3950
_cell_angle_alpha 90.00
_cell_angle_beta 90.00
_cell_angle_gamma 90.00
_symmetry_space_group_name_H-M 'I -4 m 2'
_symmetry_Int_Tables_number 119
_symmetry_space_group_name_Hall 'I -4 -2'
loop_
_atom_site_label
_atom_site_type_symbol
_atom_site_fract_x
_atom_site_fract_y
_atom_site_fract_z
Pu1 Pu 0.0000 0.0000 0.0000
Mg1 Mg 0.0000 0.5000 0.2500
Pa1 Pa 0.0000 0.0000 0.5000
Pa2 Pa 0.0000 0.5000 0.7500
Sb1 Sb 0.0000 0.0000 0.2517
Sb2 Sb 0.0000 0.5000 0.0007
```

Top 8 peaks for 10° ≤ 2θ ≤ 80°, in order of rising 2θ:
16.02 deg, d 5.534, intensity 143, hkl 1 0 1; 28.85 deg, d 3.094, intensity 1000, hkl 2 0 0; 41.26 deg, d 2.188, intensity 769, hkl 2 2 0; 51.13 deg, d 1.787, intensity 276, hkl 2 2 4; 59.82 deg, d 1.546, intensity 86, hkl 4 0 0; 67.68 deg, d 1.384, intensity 239, hkl 4 0 4; 67.77 deg, d 1.383, intensity 119, hkl 4 2 0; 75.22 deg, d 1.263, intensity 266, hkl 4 2 4



[5]
For Mg3Pa6S14, a PBE-relaxed structure gives the simulated powder XRD pattern in this record (Cu Kα, 1.54184 Å).

Atomic structure:
```
data_Mg3Pa6S14
_cell_length_a 9.8235
_cell_length_b 9.8235
_cell_length_c 5.8812
_cell_angle_alpha 90.00
_cell_angle_beta 90.00
_cell_angle_gamma 120.00
_symmetry_space_group_name_H-M 'P 3'
_symmetry_Int_Tables_number 143
_symmetry_space_group_name_Hall 'P 3'
loop_
_atom_site_label
_atom_site_type_symbol
_atom_site_fract_x
_atom_site_fract_y
_atom_site_fract_z
Mg1 Mg 0.0000 0.0000 0.0000
Mg2 Mg 0.3333 0.6667 0.4922
Mg3 Mg 0.6667 0.3333 0.1464
Pa1 Pa 0.0354 0.4699 0.9139
Pa2 Pa 0.2985 0.1944 0.4233
S1 S 0.0000 0.0000 0.6051
S2 S 0.0956 0.2540 0.1766
S3 S 0.1730 0.7603 0.6720
S4 S 0.3333 0.6667 0.0974
S5 S 0.4172 0.2371 0.9020
S6 S 0.5157 0.0829 0.3861
```

Top 8 peaks for 10° ≤ 2θ ≤ 80°, in order of rising 2θ:
18.34 deg, d 4.838, intensity 501, hkl 0 1 1; 23.60 deg, d 3.770, intensity 330, hkl 1 1 1; 25.85 deg, d 3.447, intensity 1000, hkl 0 2 1; 27.74 deg, d 3.215, intensity 345, hkl 2 1 0; 37.17 deg, d 2.419, intensity 296, hkl 2 0 2; 41.22 deg, d 2.190, intensity 411, hkl 4 -1 1; 41.62 deg, d 2.170, intensity 362, hkl 3 -2 2; 51.63 deg, d 1.770, intensity 271, hkl 5 -4 1



[6]
For Tm2MgPaS6, a PBE-relaxed structure gives the simulated powder XRD pattern in this record (Cu Kα, 1.54184 Å).

Atomic structure:
```
data_Tm2MgPaS6
_cell_length_a 6.4235
_cell_length_b 6.4235
_cell_length_c 6.3970
_cell_angle_alpha 90.00
_cell_angle_beta 90.00
_cell_angle_gamma 90.00
_symmetry_space_group_name_H-M 'P 4 m m'
_symmetry_Int_Tables_number 99
_symmetry_space_group_name_Hall 'P 4 -2'
loop_
_atom_site_label
_atom_site_type_symbol
_atom_site_fract_x
_atom_site_fract_y
_atom_site_fract_z
Tm1 Tm 0.0000 0.5000 0.0000
Mg1 Mg 0.0000 0.0000 0.5759
Pa1 Pa 0.5000 0.5000 0.5923
S1 S 0.0000 0.0000 0.2052
S2 S 0.2421 0.2421 0.7741
S3 S 0.5000 0.5000 0.1841
```

Top 8 peaks for 10° ≤ 2θ ≤ 80°, in order of rising 2θ:
13.82 deg, d 6.410, intensity 467, hkl 0 0 1; 19.58 deg, d 4.533, intensity 213, hkl 1 0 1; 24.03 deg, d 3.704, intensity 1000, hkl 1 1 1; 27.78 deg, d 3.212, intensity 337, hkl 2 0 0; 34.26 deg, d 2.617, intensity 338, hkl 1 1 2; 39.73 deg, d 2.269, intensity 645, hkl 2 2 0; 46.93 deg, d 1.936, intensity 345, hkl 3 1 1; 53.42 deg, d 1.715, intensity 154, hkl 3 1 2



[7]
For TmMg2PaS6, a PBE-relaxed structure gives the simulated powder XRD pattern in this record (Cu Kα, 1.54184 Å).

Atomic structure:
```
data_TmMg2PaS6
_cell_length_a 6.6342
_cell_length_b 6.6342
_cell_length_c 18.1227
_cell_angle_alpha 90.00
_cell_angle_beta 90.00
_cell_angle_gamma 120.00
_symmetry_space_group_name_H-M 'R 3'
_symmetry_Int_Tables_number 146
_symmetry_space_group_name_Hall 'R 3'
loop_
_atom_site_label
_atom_site_type_symbol
_atom_site_fract_x
_atom_site_fract_y
_atom_site_fract_z
Tm1 Tm 0.0000 0.0000 0.0000
Mg1 Mg 0.0000 0.0000 0.3024
Mg2 Mg 0.0000 0.0000 0.8065
Pa1 Pa 0.0000 0.0000 0.4962
S1 S 0.0039 0.6906 0.9023
S2 S 0.0129 0.3130 0.4025
```

Top 8 peaks for 10° ≤ 2θ ≤ 80°, in order of rising 2θ:
18.28 deg, d 4.852, intensity 1000, hkl 0 1 2; 25.03 deg, d 3.558, intensity 567, hkl 1 0 4; 26.88 deg, d 3.317, intensity 368, hkl 1 1 0; 37.05 deg, d 2.426, intensity 242, hkl 0 2 4; 40.39 deg, d 2.233, intensity 557, hkl 1 1 6; 42.85 deg, d 2.110, intensity 335, hkl 1 2 2; 46.37 deg, d 1.958, intensity 249, hkl 2 1 4; 47.47 deg, d 1.915, intensity 256, hkl 3 0 0



[8]
For MgPa4Se7, a PBE-relaxed structure gives the simulated powder XRD pattern in this record (Cu Kα, 1.54184 Å).

Atomic structure:
```
data_MgPa4Se7
_cell_length_a 5.0624
_cell_length_b 5.0624
_cell_length_c 12.1706
_cell_angle_alpha 90.00
_cell_angle_beta 90.00
_cell_angle_gamma 120.00
_symmetry_space_group_name_H-M 'P -3 m 1'
_symmetry_Int_Tables_number 164
_symmetry_space_group_name_Hall '-P 3 2"'
loop_
_atom_site_label
_atom_site_type_symbol
_atom_site_fract_x
_atom_site_fract_y
_atom_site_fract_z
Mg1 Mg 0.0000 0.0000 0.0000
Pa1 Pa 0.3333 0.6667 0.1811
Pa2 Pa 0.3333 0.6667 0.4119
Se1 Se 0.0000 0.0000 0.2132
Se2 Se 0.0000 0.0000 0.5000
Se3 Se 0.3333 0.6667 0.6459
Se4 Se 0.3333 0.6667 0.9363
```

Top 8 peaks for 10° ≤ 2θ ≤ 80°, in order of rising 2θ:
20.26 deg, d 4.384, intensity 212, hkl 1 0 0; 21.54 deg, d 4.125, intensity 491, hkl 0 1 1; 35.46 deg, d 2.531, intensity 1000, hkl 1 1 0; 35.93 deg, d 2.500, intensity 890, hkl 1 0 4; 51.37 deg, d 1.779, intensity 325, hkl 0 2 4; 52.13 deg, d 1.754, intensity 219, hkl 1 1 5; 63.68 deg, d 1.461, intensity 185, hkl 3 0 0; 63.98 deg, d 1.455, intensity 338, hkl 2 1 4